For MgTi2O5, a DFT-relaxed cell (PBE, the Materials Project) gives the theoretical X-ray powder pattern in this record (Cu Kα X-rays).
Kinematic intensities with the Lorentz-polarization factor, no thermal factor.

Principal peaks in the range 2θ = 15–90°, low angle first:
2θ/deg, I (rel.)
17.51, 35
18.06, 21
25.37, 100
32.17, 64
40.83, 16
48.42, 32
48.62, 15
55.83, 17
59.33, 20
59.75, 17

Crystal structure
```
MgTi2O5
1.0
1.880 -4.912 0.000
1.880 4.912 0.000
0.000 0.000 10.129
Mg Ti O
2 4 10
direct
0.196 0.804 0.750
0.804 0.196 0.250
0.133 0.867 0.067
0.133 0.867 0.433
0.867 0.133 0.567
0.867 0.133 0.933
0.046 0.954 0.613
0.046 0.954 0.887
0.216 0.784 0.250
0.313 0.687 0.563
0.313 0.687 0.937
0.687 0.313 0.063
0.687 0.313 0.437
0.784 0.216 0.750
0.954 0.046 0.113
0.954 0.046 0.387
```